(1)
Diffraction record for Ba2MgBi2O6. The powder diffractogram is theoretical, not measured: it uses a GGA-PBE-relaxed structure and λ = 1.5418 Å (Cu Kα).
Lines closer than 0.1° are merged.

Crystal structure
abc: 6.8292 6.8292 5.8834
angles: 109.54 109.54 54.34
Element x y z (fractional)
Ba1 0.2144 0.2144 0.1870
Ba2 0.7856 0.7856 0.8130
Mg1 0.5000 0.5000 0.5000
Bi1 0.0000 0.0000 0.5000
Bi2 0.5000 0.5000 0.0000
O1 0.1810 0.6472 0.2084
O2 0.3528 0.8190 0.7916
O3 0.3546 0.3546 0.6281
O4 0.6454 0.6454 0.3719
O5 0.6472 0.1810 0.2084
O6 0.8190 0.3528 0.7916

Main lines, sorted by position (15 to 90 degrees two-theta):
- 5.630 Å, 2θ 15.7, intensity 201
- 3.547 Å, 2θ 25.1, intensity 900
- 3.269 Å, 2θ 27.3, intensity 1000
- 3.118 Å, 2θ 28.6, intensity 448
- 2.922 Å, 2θ 30.6, intensity 299
- 2.815 Å, 2θ 31.8, intensity 220
- 2.132 Å, 2θ 42.4, intensity 352
- 2.089 Å, 2θ 43.3, intensity 247
- 1.827 Å, 2θ 49.9, intensity 347
- 1.774 Å, 2θ 51.5, intensity 196

---

(2)
Diffraction record for RbMnTe2. The powder diffractogram is theoretical, not measured: it uses a GGA-PBE-relaxed structure and λ = 1.5418 Å (Cu Kα).
Lines closer than 0.1° are merged.

Crystal structure
abc: 4.3936 4.3936 14.7691
angles: 90.00 90.00 90.00
Element x y z (fractional)
Rb1 0.0000 0.0000 0.0000
Rb2 0.5000 0.5000 0.5000
Mn1 0.0000 0.5000 0.2500
Mn2 0.5000 0.0000 0.7500
Te1 0.0000 0.0000 0.3500
Te2 0.0000 0.0000 0.6500
Te3 0.5000 0.5000 0.1500
Te4 0.5000 0.5000 0.8500

Main lines, sorted by position (15 to 90 degrees two-theta):
- 4.211 Å, 2θ 21.1, intensity 118
- 3.278 Å, 2θ 27.2, intensity 1000
- 3.107 Å, 2θ 28.7, intensity 312
- 2.377 Å, 2θ 37.8, intensity 111
- 2.197 Å, 2θ 41.1, intensity 232
- 1.929 Å, 2θ 47.1, intensity 239
- 1.825 Å, 2θ 50.0, intensity 366
- 1.404 Å, 2θ 66.6, intensity 76
- 1.210 Å, 2θ 79.2, intensity 101
- 1.183 Å, 2θ 81.3, intensity 87